# Sm2MnCu3Ge4
Theoretical XRD peak list, Cu Kα. Input: a crystal structure in Alexandria, relaxed with GGA-PBE.
No peak broadening, texture or thermal motion is included.

The 10 most intense peaks (2θ = 10–90°), in order of rising 2θ:
Position (°2θ)  intensity  (hkl)
30.29  19  1 1 0
33.91  63  1 0 3
35.09  100  1 1 2
43.36  53  2 0 0
49.56  30  1 0 5
56.16  29  2 1 3
63.00  17  2 2 0
67.93  23  2 1 5
74.20  23  3 1 2
89.86  12  2 0 8

Cell and atoms:
```
10
Lattice="4.173 0.000 0.000 0.000 4.173 0.000 0.000 0.000 10.247" Properties=species:S:1:pos:R:3 pbc="T T T"
Sm 0.000 2.087 2.522
Sm 2.087 0.000 7.725
Mn 0.000 0.000 5.123
Cu 0.000 2.087 8.908
Cu 2.087 0.000 1.339
Cu 2.087 2.087 5.123
Ge 0.000 0.000 0.000
Ge 0.000 2.087 6.505
Ge 2.087 0.000 3.742
Ge 2.087 2.087 0.000
```